Entry 1:
This entry pairs a crystal structure of BaNiSn3 with its theoretical X-ray diffraction stick pattern. Radiation: copper Kα. Structure: a crystal structure in the Materials Project, relaxed with GGA-PBE.

Crystal structure
a b c (Å): 4.871 4.871 11.062
angles (deg): 90.00 90.00 90.00
Space group I4mm (No. 107)
Unique sites:
Ba 0.000 0.000 0.000 [2 per cell]
Ni 0.000 0.000 0.659 [2 per cell]
Sn 0.000 0.000 0.427 [2 per cell]
Sn 0.000 0.500 0.249 [4 per cell]

Principal peaks in the range 15° ≤ 2θ ≤ 90°, by angle:
2.940 Å, intensity 24.0
2.924 Å, intensity 100.0
2.765 Å, intensity 14.5
2.436 Å, intensity 53.6
2.156 Å, intensity 14.4
2.014 Å, intensity 11.9
1.876 Å, intensity 12.9
1.828 Å, intensity 17.4
1.722 Å, intensity 18.8
1.484 Å, intensity 30.1

=====

Entry 2:
This entry pairs a crystal structure of NaEuO2 with its theoretical X-ray diffraction stick pattern. Radiation: copper Kα. Structure: a crystal structure in the Materials Project, relaxed with GGA-PBE.

Crystal structure
a b c (Å): 3.5193 3.5193 16.6821
angles (deg): 90.00 90.00 120.00
Space group R-3m (No. 166, hexagonal axes)
Unique sites:
Na 0.0000 0.0000 0.0000 [3 per cell]
Eu 0.0000 0.0000 0.5000 [3 per cell]
O 0.0000 0.0000 0.2400 [6 per cell]

Principal peaks in the range 15° ≤ 2θ ≤ 90°, by angle:
5.561 Å, intensity 100.0
2.998 Å, intensity 59.8
2.863 Å, intensity 68.7
2.780 Å, intensity 21.9
2.461 Å, intensity 96.7
2.250 Å, intensity 24.0
1.760 Å, intensity 33.6
1.721 Å, intensity 30.0
1.678 Å, intensity 24.8
1.487 Å, intensity 21.1

=====

Entry 3:
This entry pairs a crystal structure of Sr3GaO4F with its theoretical X-ray diffraction stick pattern. Radiation: copper Kα. Structure: a crystal structure in the Materials Project, relaxed with GGA-PBE.

Crystal structure
a b c (Å): 6.850 6.850 11.497
angles (deg): 90.00 90.00 90.00
Space group I4/mcm (No. 140)
Unique sites:
Sr 0.000 0.000 0.250 [4 per cell]
Sr 0.167 0.333 0.000 [8 per cell]
Ga 0.000 0.500 0.250 [4 per cell]
O 0.147 0.353 0.356 [16 per cell]
F 0.000 0.000 0.000 [4 per cell]

Principal peaks in the range 15° ≤ 2θ ≤ 90°, by angle:
2.960 Å, intensity 39.0
2.942 Å, intensity 100.0
2.874 Å, intensity 40.5
2.422 Å, intensity 30.5
2.393 Å, intensity 69.0
2.166 Å, intensity 19.9
1.852 Å, intensity 24.4
1.839 Å, intensity 19.2
1.672 Å, intensity 21.3
1.641 Å, intensity 16.0

=====

Entry 4:
This entry pairs a crystal structure of Tb2InPd2 with its theoretical X-ray diffraction stick pattern. Radiation: copper Kα. Structure: a crystal structure in the Materials Project, relaxed with GGA-PBE.

Crystal structure
a b c (Å): 7.757 7.757 3.751
angles (deg): 90.00 90.00 90.00
Space group P4/mbm (No. 127)
Unique sites:
Tb 0.174 0.326 0.000 [4 per cell]
In 0.000 0.000 0.500 [2 per cell]
Pd 0.128 0.628 0.500 [4 per cell]

Principal peaks in the range 15° ≤ 2θ ≤ 90°, by angle:
2.743 Å, intensity 10.3
2.696 Å, intensity 33.7
2.547 Å, intensity 100.0
2.453 Å, intensity 42.2
1.881 Å, intensity 8.9
1.876 Å, intensity 14.3
1.682 Å, intensity 14.6
1.490 Å, intensity 17.5
1.410 Å, intensity 10.2
1.345 Å, intensity 11.3

=====

Entry 5:
This entry pairs a crystal structure of La2Si3Ir3 with its theoretical X-ray diffraction stick pattern. Radiation: copper Kα. Structure: a crystal structure in the Materials Project, relaxed with GGA-PBE.

Crystal structure
a b c (Å): 6.195 6.195 19.496
angles (deg): 90.00 90.00 90.00
Space group P4/mmm (No. 123)
Unique sites:
La 0.000 0.000 0.232 [2 per cell]
Si 0.000 0.000 0.000 [1 per cell]
Si 0.000 0.000 0.384 [2 per cell]
Ir 0.000 0.000 0.118 [2 per cell]
Ir 0.000 0.000 0.500 [1 per cell]

Principal peaks in the range 15° ≤ 2θ ≤ 90°, by angle:
4.484 Å, intensity 47.3
4.380 Å, intensity 100.0
3.632 Å, intensity 28.7
3.097 Å, intensity 41.9
2.770 Å, intensity 62.1
2.548 Å, intensity 23.0
2.268 Å, intensity 25.9
2.130 Å, intensity 21.5
1.959 Å, intensity 22.8
1.830 Å, intensity 27.0

=====

Entry 6:
This entry pairs a crystal structure of SmYCo4Ni6 with its theoretical X-ray diffraction stick pattern. Radiation: copper Kα. Structure: a crystal structure in the Materials Project, relaxed with GGA-PBE.

Crystal structure
a b c (Å): 3.974 4.903 8.480
angles (deg): 90.00 90.00 90.00
Space group Pmmm (No. 47)
Unique sites:
Sm 0.000 0.000 0.000 [1 per cell]
Y 0.000 0.500 0.500 [1 per cell]
Co 0.000 0.000 0.334 [2 per cell]
Co 0.000 0.500 0.167 [2 per cell]
Ni 0.500 0.000 0.500 [1 per cell]
Ni 0.500 0.250 0.251 [4 per cell]
Ni 0.500 0.500 0.000 [1 per cell]

Principal peaks in the range 15° ≤ 2θ ≤ 90°, by angle:
2.900 Å, intensity 41.1
2.450 Å, intensity 27.2
2.122 Å, intensity 35.6
2.085 Å, intensity 100.0
1.987 Å, intensity 28.8
1.871 Å, intensity 13.4
1.543 Å, intensity 12.4
1.450 Å, intensity 20.0
1.332 Å, intensity 21.6
1.165 Å, intensity 13.8

=====

Entry 7:
This entry pairs a crystal structure of Zr2N2O with its theoretical X-ray diffraction stick pattern. Radiation: copper Kα. Structure: a crystal structure in the Materials Project, relaxed with GGA-PBE.

Crystal structure
a b c (Å): 8.605 3.152 8.555
angles (deg): 90.00 90.00 90.00
Space group Pnma (No. 62)
Unique sites:
Zr 0.005 0.250 0.179 [4 per cell]
Zr 0.182 0.250 0.501 [4 per cell]
N 0.048 0.750 0.367 [4 per cell]
N 0.124 0.250 0.944 [4 per cell]
O 0.226 0.750 0.690 [4 per cell]

Principal peaks in the range 15° ≤ 2θ ≤ 90°, by angle:
3.034 Å, intensity 100.0
2.957 Å, intensity 56.2
2.797 Å, intensity 58.1
2.720 Å, intensity 87.0
2.707 Å, intensity 77.7
2.435 Å, intensity 91.0
2.186 Å, intensity 43.2
2.054 Å, intensity 55.3
1.900 Å, intensity 35.0
1.363 Å, intensity 39.3

=====

Entry 8:
This entry pairs a crystal structure of Rb2NaCrCl6 with its theoretical X-ray diffraction stick pattern. Radiation: copper Kα. Structure: a crystal structure in the Materials Project, relaxed with GGA-PBE.

Crystal structure
a b c (Å): 10.297 10.297 10.297
angles (deg): 90.00 90.00 90.00
Space group Fm-3m (No. 225)
Unique sites:
Rb 0.250 0.250 0.250 [8 per cell]
Na 0.000 0.000 0.000 [4 per cell]
Cr 0.000 0.000 0.500 [4 per cell]
Cl 0.000 0.000 0.270 [24 per cell]

Principal peaks in the range 15° ≤ 2θ ≤ 90°, by angle:
3.641 Å, intensity 81.1
2.972 Å, intensity 89.6
2.574 Å, intensity 100.0
2.102 Å, intensity 33.1
1.820 Å, intensity 62.2
1.628 Å, intensity 18.9
1.552 Å, intensity 29.2
1.486 Å, intensity 19.6
1.376 Å, intensity 19.6
1.151 Å, intensity 23.6

=====

Entry 9:
This entry pairs a crystal structure of Tb6IrI10 with its theoretical X-ray diffraction stick pattern. Radiation: copper Kα. Structure: a crystal structure in the Materials Project, relaxed with GGA-PBE.

Crystal structure
a b c (Å): 7.760 9.716 9.739
angles (deg): 107.53 104.94 97.13
Space group P-1 (No. 2)
Unique sites:
Tb 0.027 0.413 0.213 [2 per cell]
Tb 0.113 0.259 0.539 [2 per cell]
Tb 0.353 0.668 0.628 [2 per cell]
Ir 0.000 0.500 0.500 [1 per cell]
I 0.086 0.319 0.872 [2 per cell]
I 0.212 0.147 0.236 [2 per cell]
I 0.264 0.964 0.589 [2 per cell]
I 0.359 0.775 0.958 [2 per cell]
I 0.453 0.592 0.315 [2 per cell]

Principal peaks in the range 15° ≤ 2θ ≤ 90°, by angle:
3.159 Å, intensity 51.9
3.082 Å, intensity 100.0
2.224 Å, intensity 33.5
2.191 Å, intensity 18.8
2.184 Å, intensity 35.1
2.177 Å, intensity 17.7
1.795 Å, intensity 9.9
1.777 Å, intensity 10.7
1.541 Å, intensity 11.7
1.377 Å, intensity 10.4